No. 1
This entry pairs a crystal structure of HoCuPbS3 with its calculated powder XRD pattern. Radiation: a wavelength of 1.5418 Å. Structure: a structure optimized by DFT (PBE).
Kinematic intensities with the Lorentz-polarization factor, no thermal factor.

Principal peaks in the range 2θ = 15–90°, low angle first:
Position (°2θ), I_rel
19.2, 35.0
24.8, 100.0
25.7, 28.1
26.9, 36.1
28.9, 39.8
33.3, 76.4
36.6, 55.4
37.2, 51.8
37.5, 32.5
46.5, 34.9

Atomic structure:
```
12
Lattice="7.4889 0.0000 0.0000 0.0000 3.9054 0.0000 -2.6578 0.0000 9.2241" Properties=species:S:1:pos:R:3 pbc="T T T"
Ho 1.0365 0.9764 1.4737
Ho 3.7947 2.9291 7.7505
Cu 2.0131 2.9291 3.8089
Cu 2.8181 0.9764 5.4153
Pb -0.0291 2.9291 6.4406
Pb 4.8603 0.9764 2.7836
S -1.7770 0.9764 7.9590
S 0.6605 0.9764 4.1755
S 2.8940 2.9291 1.6342
S 1.9371 0.9764 7.5900
S 4.1707 2.9291 5.0487
S 6.6082 2.9291 1.2652
```

***

No. 2
This entry pairs a crystal structure of HoTmCu2Pb with its calculated powder XRD pattern. Radiation: a wavelength of 1.5418 Å. Structure: a structure optimized by DFT (PBE).
Kinematic intensities with the Lorentz-polarization factor, no thermal factor.

Principal peaks in the range 2θ = 15–90°, low angle first:
Position (°2θ), I_rel
28.7, 47.3
33.2, 100.0
35.8, 64.1
38.9, 46.1
43.0, 26.2
50.2, 16.6
57.1, 33.7
57.2, 16.2
58.8, 13.4
65.2, 20.7

Atomic structure:
```
5
Lattice="3.6363 0.0000 0.0000 0.0000 2.1047 6.9456 0.0000 -2.1047 6.9456" Properties=species:S:1:pos:R:3 pbc="T T T"
Ho 0.0000 0.0000 0.0000
Tm 0.0000 0.0000 3.7682
Cu 1.8181 0.0000 5.9865
Cu 1.8181 0.0000 11.6421
Pb 1.8181 0.0000 8.8327
```

***

No. 3
This entry pairs a crystal structure of Ho2CuPd with its calculated powder XRD pattern. Radiation: a wavelength of 1.5418 Å. Structure: a structure optimized by DFT (PBE).
Kinematic intensities with the Lorentz-polarization factor, no thermal factor.

Principal peaks in the range 2θ = 15–90°, low angle first:
Position (°2θ), I_rel
28.7, 68.5
32.2, 91.6
35.3, 76.7
36.3, 100.0
40.1, 60.4
40.7, 85.1
41.8, 37.6
54.5, 45.7
54.6, 23.4
59.3, 26.5

Atomic structure:
```
8
Lattice="4.4947 0.0000 0.0000 0.0000 5.4585 0.0000 0.0000 0.0000 7.0646" Properties=species:S:1:pos:R:3 pbc="T T T"
Ho 0.0000 0.6195 0.0000
Ho 0.0000 4.8391 3.5323
Ho 2.2473 2.0972 4.4926
Ho 2.2473 3.3614 0.9603
Cu 0.0000 2.1079 2.5048
Cu 0.0000 3.3506 6.0371
Pd 2.2473 0.6237 1.9951
Pd 2.2473 4.8348 5.5273
```

***

Repeat the first record exactly.
This entry pairs a crystal structure of HoCuPbS3 with its calculated powder XRD pattern. Radiation: a wavelength of 1.5418 Å. Structure: a structure optimized by DFT (PBE).
Kinematic intensities with the Lorentz-polarization factor, no thermal factor.

Principal peaks in the range 2θ = 15–90°, low angle first:
Position (°2θ), I_rel
19.2, 35.0
24.8, 100.0
25.7, 28.1
26.9, 36.1
28.9, 39.8
33.3, 76.4
36.6, 55.4
37.2, 51.8
37.5, 32.5
46.5, 34.9

Atomic structure:
```
12
Lattice="7.4889 0.0000 0.0000 0.0000 3.9054 0.0000 -2.6578 0.0000 9.2241" Properties=species:S:1:pos:R:3 pbc="T T T"
Ho 1.0365 0.9764 1.4737
Ho 3.7947 2.9291 7.7505
Cu 2.0131 2.9291 3.8089
Cu 2.8181 0.9764 5.4153
Pb -0.0291 2.9291 6.4406
Pb 4.8603 0.9764 2.7836
S -1.7770 0.9764 7.9590
S 0.6605 0.9764 4.1755
S 2.8940 2.9291 1.6342
S 1.9371 0.9764 7.5900
S 4.1707 2.9291 5.0487
S 6.6082 2.9291 1.2652
```

***

Please write out number 1 again, unchanged.
This entry pairs a crystal structure of HoCuPbS3 with its calculated powder XRD pattern. Radiation: a wavelength of 1.5418 Å. Structure: a structure optimized by DFT (PBE).
Kinematic intensities with the Lorentz-polarization factor, no thermal factor.

Principal peaks in the range 2θ = 15–90°, low angle first:
Position (°2θ), I_rel
19.2, 35.0
24.8, 100.0
25.7, 28.1
26.9, 36.1
28.9, 39.8
33.3, 76.4
36.6, 55.4
37.2, 51.8
37.5, 32.5
46.5, 34.9

Atomic structure:
```
12
Lattice="7.4889 0.0000 0.0000 0.0000 3.9054 0.0000 -2.6578 0.0000 9.2241" Properties=species:S:1:pos:R:3 pbc="T T T"
Ho 1.0365 0.9764 1.4737
Ho 3.7947 2.9291 7.7505
Cu 2.0131 2.9291 3.8089
Cu 2.8181 0.9764 5.4153
Pb -0.0291 2.9291 6.4406
Pb 4.8603 0.9764 2.7836
S -1.7770 0.9764 7.9590
S 0.6605 0.9764 4.1755
S 2.8940 2.9291 1.6342
S 1.9371 0.9764 7.5900
S 4.1707 2.9291 5.0487
S 6.6082 2.9291 1.2652
```